Entry 1:
Calculated X-ray diffraction stick pattern of Tl5Bi2Pb5 for Cu Ka, from a cell relaxed with GGA-PBE.
Kinematic intensities with the Lorentz-polarization factor, no thermal factor.

The 10 most intense peaks (10 to 90 degrees two-theta), most intense first:
2theta  I_rel
30.8  100
35.7  34
51.4  31
61.1  29
35.6  17
61.0  15
64.1  13
83.8  12
86.6  7
86.3  6

Atomic structure:
abc: 7.9459 7.9459 11.2404
angles: 115.10 115.10 37.00
Fractional coordinates of all 12 atoms:
Tl  0.0000  0.0000  0.0000
Tl  0.0812  0.0812  0.7473
Tl  0.1660  0.1660  0.4969
Tl  0.8340  0.8340  0.5031
Tl  0.9188  0.9188  0.2527
Bi  0.3256  0.3256  0.9891
Bi  0.6744  0.6744  0.0109
Pb  0.2452  0.2452  0.2474
Pb  0.4186  0.4186  0.7527
Pb  0.5000  0.5000  0.5000
Pb  0.5814  0.5814  0.2473
Pb  0.7548  0.7548  0.7526


Entry 2:
Calculated X-ray diffraction stick pattern of Tl5Bi2Pb2 for Cu Ka, from a cell relaxed with GGA-PBE.
Kinematic intensities with the Lorentz-polarization factor, no thermal factor.

The 10 most intense peaks (10 to 90 degrees two-theta), most intense first:
2theta  I_rel
31.5  100
30.8  95
34.4  44
30.2  38
46.4  24
60.8  22
42.7  20
56.0  19
31.9  18
59.8  17

Atomic structure:
abc: 5.8592 5.8592 10.7445
angles: 90.03 90.03 127.15
Fractional coordinates of all 9 atoms:
Tl  0.0000  0.0000  0.0000
Tl  0.3570  0.6422  0.3117
Tl  0.3578  0.6430  0.6883
Tl  0.6648  0.3348  0.1687
Tl  0.6652  0.3352  0.8313
Bi  0.3166  0.6834  0.0000
Bi  0.7217  0.2783  0.5000
Pb  0.0423  0.9553  0.3538
Pb  0.0447  0.9577  0.6462


Entry 3:
Calculated X-ray diffraction stick pattern of Tl5Bi2Pb4 for Cu Ka, from a cell relaxed with GGA-PBE.
Kinematic intensities with the Lorentz-polarization factor, no thermal factor.

The 10 most intense peaks (10 to 90 degrees two-theta), most intense first:
2theta  I_rel
32.6  100
30.9  53
33.1  33
33.3  32
35.2  24
30.5  15
30.4  15
52.2  14
27.4  13
62.8  13

Atomic structure:
abc: 3.5034 9.4183 11.2373
angles: 98.22 98.60 90.13
Fractional coordinates of all 11 atoms:
Tl  0.0000  0.0000  0.0000
Tl  0.0654  0.4050  0.1363
Tl  0.1811  0.9314  0.3627
Tl  0.8189  0.0686  0.6373
Tl  0.9346  0.5950  0.8637
Bi  0.3063  0.3915  0.6127
Bi  0.6937  0.6085  0.3873
Pb  0.3243  0.7519  0.6404
Pb  0.4354  0.2661  0.8717
Pb  0.5646  0.7339  0.1283
Pb  0.6757  0.2481  0.3596